(1)
For Tb3Pm4Th2, a cell relaxed with GGA-PBE gives the calculated powder X-ray diffraction pattern in this record (copper Kα).
Kinematic intensities with the Lorentz-polarization factor, no thermal factor.

Most intense lines, 2θ from 10° to 90°, by angle:
two_theta	Rel. int.	h k l
28.74	51.5	1 0 0
29.76	53.0	0 0 9
31.70	66.0	1 0 4
33.27	100.0	0 1 5
41.85	35.0	0 1 9
50.91	38.7	1 1 0
56.11	32.6	0 1 14
60.09	44.2	1 1 9

Cell and atoms:
Cell lengths 3.5874, 3.5874, 27.0165 Å; angles 90.00, 90.00, 120.00 degrees
Space group P3m1 (No. 156)
Unique sites:
Tb1 0.0000 0.0000 0.0000
Tb2 0.0000 0.0000 0.3414
Tb3 0.6667 0.3333 0.6713
Pm1 0.0000 0.0000 0.5632
Pm2 0.0000 0.0000 0.7813
Pm3 0.6667 0.3333 0.2348
Pm4 0.6667 0.3333 0.4509
Th1 0.6667 0.3333 0.1080
Th2 0.6667 0.3333 0.8912

=====

(2)
For DyHoGa, a cell relaxed with GGA-PBE gives the calculated powder X-ray diffraction pattern in this record (copper Kα).
Kinematic intensities with the Lorentz-polarization factor, no thermal factor.

Most intense lines, 2θ from 10° to 90°, by angle:
two_theta	Rel. int.	h k l
30.21	28.7	1 0 2
30.49	100.0	1 1 1
34.05	25.9	0 0 3
36.43	55.2	1 1 2
40.40	49.1	2 0 0
53.83	28.2	2 0 3
58.46	18.4	2 2 0
67.37	20.8	3 1 1

Cell and atoms:
Cell lengths 4.4653, 4.4653, 7.8998 Å; angles 90.00, 90.00, 90.00 degrees
Space group P4/nmm (No. 129, origin choice 2)
Unique sites:
Dy1 0.2500 0.7500 0.0000
Ho1 0.2500 0.2500 0.3625
Ga1 0.2500 0.2500 0.7328

=====

(3)
For Er3Hf2In2, a cell relaxed with GGA-PBE gives the calculated powder X-ray diffraction pattern in this record (copper Kα).
Kinematic intensities with the Lorentz-polarization factor, no thermal factor.

Most intense lines, 2θ from 10° to 90°, by angle:
two_theta	Rel. int.	h k l
33.25	100.0	1 7 0
36.37	30.8	0 6 1
36.89	24.0	2 0 0
52.77	21.2	2 6 1
63.46	16.9	1 13 1
64.15	14.9	3 7 0
66.99	15.1	1 7 2
69.24	8.4	2 0 2

Cell and atoms:
Cell lengths 4.8734, 22.6415, 3.2673 Å; angles 90.00, 90.00, 90.00 degrees
Space group Cmmm (No. 65)
Unique sites:
Er1 0.0000 0.0000 0.0000
Er2 0.0000 0.1509 0.0000
Hf1 0.0000 0.2771 0.5000
In1 0.0000 0.4229 0.5000

=====

(4)
For AcSiPt6Au, a cell relaxed with GGA-PBE gives the calculated powder X-ray diffraction pattern in this record (copper Kα).
Kinematic intensities with the Lorentz-polarization factor, no thermal factor.

Most intense lines, 2θ from 10° to 90°, by angle:
two_theta	Rel. int.	h k l
28.53	38.6	2 1 1
30.88	24.5	0 0 4
32.35	100.0	2 2 0
34.97	41.8	1 1 4
36.73	29.4	0 2 4
39.40	58.2	0 4 0
45.33	87.1	2 2 4
52.67	24.2	4 0 0

Cell and atoms:
Cell lengths 6.9514, 9.1476, 11.5838 Å; angles 90.00, 90.00, 90.00 degrees
Space group Imma (No. 74)
Unique sites:
Ac1 0.0000 0.2500 0.1732
Si1 0.0000 0.0000 0.5000
Pt1 0.0000 0.2500 0.4277
Pt2 0.0000 0.2500 0.9202
Pt3 0.2334 0.0103 0.8801
Au1 0.2500 0.2500 0.7500

=====

(5)
For Li2Ge4Os3, a cell relaxed with GGA-PBE gives the calculated powder X-ray diffraction pattern in this record (copper Kα).
Kinematic intensities with the Lorentz-polarization factor, no thermal factor.

Most intense lines, 2θ from 10° to 90°, by angle:
two_theta	Rel. int.	h k l
14.78	100.0	0 0 2
17.73	29.8	0 2 0
21.02	80.6	1 1 1
39.03	57.2	0 4 2
39.45	51.8	1 3 3
42.77	84.8	2 2 2
47.35	29.7	0 4 4
50.61	39.2	2 2 4

Cell and atoms:
Cell lengths 5.0625, 10.0028, 11.9849 Å; angles 90.00, 90.00, 90.00 degrees
Space group Fmmm (No. 69)
Unique sites:
Li1 0.0000 0.0000 0.1061
Ge1 0.0000 0.1487 0.3302
Os1 0.0000 0.0000 0.5000
Os2 0.2500 0.2500 0.0000

=====

(6)
For Li2MgS2, a cell relaxed with GGA-PBE gives the calculated powder X-ray diffraction pattern in this record (copper Kα).
Kinematic intensities with the Lorentz-polarization factor, no thermal factor.

Most intense lines, 2θ from 10° to 90°, by angle:
two_theta	Rel. int.	h k l
24.61	100.0	0 0 1
29.06	55.2	2 1 0
37.01	27.1	2 2 0
38.44	91.3	2 1 1
41.57	43.3	3 1 0
44.95	29.6	2 2 1
48.91	33.6	3 1 1
61.25	26.8	4 1 1

Cell and atoms:
Cell lengths 6.8701, 6.8701, 3.6169 Å; angles 90.00, 90.00, 90.00 degrees
Space group P4/mbm (No. 127)
Unique sites:
Li1 0.1321 0.3679 0.0000
Mg1 0.0000 0.0000 0.5000
S1 0.1818 0.6818 0.5000